Starting from a DFT-relaxed cell (PBE, Alexandria), the X-ray diffraction stick pattern of Tb2Ho3In4 was computed for Cu Kα, 1.54184 Å.
Intensities are scaled so that the largest is 100.

Crystal structure
```
Tb2Ho3In4
1.0
4.5546 -2.6332 0.0000
4.5546 2.6332 0.0000
-0.0170 0.0000 10.2466
Tb Ho In
2 3 4
Direct
0.1668 0.1668 0.2767
0.8332 0.8332 0.7233
0.1665 0.1665 0.9256
0.5000 0.5000 0.5000
0.8335 0.8335 0.0744
0.1665 0.1665 0.6007
0.5002 0.5002 0.1540
0.4998 0.4998 0.8460
0.8335 0.8335 0.3993
```

Principal peaks in the range 2θ from 5° to 70°, in order of falling intensity:
2θ (°)  Rel. int.
32.8  100
34.1  93
60.2  34
48.0  34
57.6  17
61.0  17